Entry 1:
# NpMn2C2
Simulated X-ray powder pattern, copper Kα. Input: DFT lattice parameters and positions (GGA-PBE).
Intensities are scaled so that the largest is 100.

Crystal structure
Cell: 6.133 5.458 5.162 Å, 70.48 57.02 52.50°
Fractional positions:
Np1 0.125 0.125 0.125
Np2 0.875 0.875 0.875
Mn1 0.239 0.239 0.511
Mn2 0.489 0.489 0.761
Mn3 0.511 0.511 0.239
Mn4 0.761 0.761 0.489
C1 0.187 0.563 0.187
C2 0.437 0.813 0.437
C3 0.563 0.187 0.563
C4 0.813 0.437 0.813

Main lines, by intensity (2θ = 10–90°):
2θ (°)	I_rel
34.92	100
36.41	96
20.51	76
29.23	61
35.37	53
47.00	50
43.61	31
55.43	27
37.00	27
66.04	26

Entry 2:
# MgTl2Cu
Simulated X-ray powder pattern, copper Kα. Input: DFT lattice parameters and positions (GGA-PBE).
Intensities are scaled so that the largest is 100.

Crystal structure
Cell: 3.306 4.680 12.066 Å, 90.00 90.00 90.00°
Fractional positions:
Mg1 0.000 0.000 0.000
Mg2 0.500 0.500 0.500
Tl1 0.000 0.000 0.396
Tl2 0.000 0.500 0.189
Tl3 0.500 0.000 0.689
Tl4 0.500 0.500 0.896
Cu1 0.000 0.500 0.683
Cu2 0.500 0.000 0.183

Main lines, by intensity (2θ = 10–90°):
2θ (°)	I_rel
36.46	100
29.28	44
29.62	31
20.35	31
27.98	30
38.47	24
45.07	20
68.28	16
49.29	15
64.06	15

Entry 3:
# TaTl3Sn2Se6
Simulated X-ray powder pattern, copper Kα. Input: DFT lattice parameters and positions (GGA-PBE).
Intensities are scaled so that the largest is 100.

Crystal structure
Cell: 7.247 7.247 7.844 Å, 98.81 98.81 119.64°
Fractional positions:
Ta1 0.000 0.000 0.000
Tl1 0.170 0.830 0.500
Tl2 0.500 0.500 0.500
Tl3 0.830 0.170 0.500
Sn1 0.333 0.667 0.000
Sn2 0.667 0.333 0.000
Se1 0.066 0.364 0.198
Se2 0.229 0.229 0.795
Se3 0.364 0.066 0.198
Se4 0.636 0.934 0.802
Se5 0.771 0.771 0.205
Se6 0.934 0.636 0.802

Main lines, by intensity (2θ = 10–90°):
2θ (°)	I_rel
29.31	100
43.08	24
40.76	24
25.86	14
40.51	12
53.17	12
43.33	11
23.82	10
60.80	10
70.57	9

Entry 4:
# Cs2Ag2SbSe4
Simulated X-ray powder pattern, copper Kα. Input: DFT lattice parameters and positions (GGA-PBE).
Intensities are scaled so that the largest is 100.

Crystal structure
Cell: 8.417 8.417 8.494 Å, 109.26 109.26 29.53°
Fractional positions:
Cs1 0.134 0.134 0.063
Cs2 0.866 0.866 0.937
Ag1 0.311 0.311 0.516
Ag2 0.689 0.689 0.484
Sb1 0.000 0.000 0.500
Se1 0.187 0.187 0.675
Se2 0.483 0.483 0.718
Se3 0.517 0.517 0.282
Se4 0.813 0.813 0.325

Main lines, by intensity (2θ = 10–90°):
2θ (°)	I_rel
29.65	100
31.65	72
11.08	67
31.24	55
48.53	55
42.12	52
27.00	48
29.12	48
45.17	41
35.19	35

Entry 5:
# TbHoTm4Se8
Simulated X-ray powder pattern, copper Kα. Input: DFT lattice parameters and positions (GGA-PBE).
Intensities are scaled so that the largest is 100.

Crystal structure
Cell: 8.346 8.346 8.346 Å, 59.93 59.93 59.93°
Fractional positions:
Tb1 0.000 0.000 0.000
Ho1 0.625 0.625 0.625
Tm1 0.127 0.625 0.625
Tm2 0.251 0.251 0.251
Tm3 0.625 0.127 0.625
Tm4 0.625 0.625 0.127
Se1 0.381 0.381 0.855
Se2 0.381 0.855 0.381
Se3 0.383 0.383 0.383
Se4 0.402 0.868 0.868
Se5 0.855 0.381 0.381
Se6 0.866 0.866 0.866
Se7 0.868 0.402 0.868
Se8 0.868 0.868 0.402

Main lines, by intensity (2θ = 10–90°):
2θ (°)	I_rel
25.04	100
43.39	100
39.70	51
30.31	48
21.30	27
60.26	24
79.66	24
63.04	16
50.75	15
71.54	15

Entry 6:
# SmMg2Tl2Ag2
Simulated X-ray powder pattern, copper Kα. Input: DFT lattice parameters and positions (GGA-PBE).
Intensities are scaled so that the largest is 100.

Crystal structure
Cell: 8.519 8.519 8.519 Å, 33.56 33.56 33.56°
Fractional positions:
Sm1 0.000 0.000 0.000
Mg1 0.134 0.134 0.134
Mg2 0.866 0.866 0.866
Tl1 0.398 0.398 0.398
Tl2 0.602 0.602 0.602
Ag1 0.251 0.251 0.251
Ag2 0.749 0.749 0.749

Main lines, by intensity (2θ = 10–90°):
2θ (°)	I_rel
36.54	100
27.96	53
11.02	33
65.77	24
43.14	21
22.14	15
46.63	15
60.65	13
33.47	12
52.63	12

Entry 7:
# In2Rh2O7
Simulated X-ray powder pattern, copper Kα. Input: DFT lattice parameters and positions (GGA-PBE).
Intensities are scaled so that the largest is 100.

Crystal structure
Cell: 7.140 7.140 7.140 Å, 60.00 60.00 60.00°
Fractional positions:
In1 0.000 0.000 0.000
In2 0.000 0.000 0.500
In3 0.000 0.500 0.000
In4 0.500 0.000 0.000
Rh1 0.000 0.500 0.500
Rh2 0.500 0.000 0.500
Rh3 0.500 0.500 0.000
Rh4 0.500 0.500 0.500
O1 0.125 0.125 0.125
O2 0.162 0.162 0.588
O3 0.162 0.588 0.162
O4 0.162 0.588 0.588
O5 0.412 0.412 0.838
O6 0.412 0.838 0.412
O7 0.412 0.838 0.838
O8 0.588 0.162 0.162
O9 0.588 0.162 0.588
O10 0.588 0.588 0.162
O11 0.838 0.412 0.412
O12 0.838 0.412 0.838
O13 0.838 0.838 0.412
O14 0.875 0.875 0.875

Main lines, by intensity (2θ = 10–90°):
2θ (°)	I_rel
30.67	100
51.18	48
60.86	41
35.57	30
83.46	16
86.14	13
63.87	9
75.30	7
38.88	2
46.75	1

Entry 8:
# RbSiHgTe3
Simulated X-ray powder pattern, copper Kα. Input: DFT lattice parameters and positions (GGA-PBE).
Intensities are scaled so that the largest is 100.

Crystal structure
Cell: 7.765 7.765 8.511 Å, 102.42 102.42 66.04°
Fractional positions:
Rb1 0.154 0.154 0.226
Rb2 0.846 0.846 0.774
Si1 0.490 0.490 0.134
Si2 0.510 0.510 0.866
Hg1 0.290 0.710 0.500
Hg2 0.710 0.290 0.500
Te1 0.139 0.639 0.177
Te2 0.337 0.337 0.652
Te3 0.361 0.861 0.823
Te4 0.639 0.139 0.177
Te5 0.663 0.663 0.348
Te6 0.861 0.361 0.823

Main lines, by intensity (2θ = 10–90°):
2θ (°)	I_rel
26.13	100
27.63	28
28.82	28
39.13	27
25.36	24
14.07	20
15.38	19
48.40	19
31.04	17
52.36	17

Entry 9:
# MnRePt2
Simulated X-ray powder pattern, copper Kα. Input: DFT lattice parameters and positions (GGA-PBE).
Intensities are scaled so that the largest is 100.

Crystal structure
Cell: 9.117 2.771 4.756 Å, 90.00 99.85 90.00°
Fractional positions:
Mn1 0.000 0.000 0.000
Mn2 0.500 0.500 0.000
Re1 0.000 0.500 0.500
Re2 0.500 0.000 0.500
Pt1 0.250 0.000 0.748
Pt2 0.250 0.500 0.252
Pt3 0.750 0.000 0.252
Pt4 0.750 0.500 0.748

Main lines, by intensity (2θ = 10–90°):
2θ (°)	I_rel
39.94	100
40.20	98
46.57	65
46.69	32
81.69	26
68.01	21
68.14	21
82.06	19
82.27	19
19.77	15

Entry 10:
# Ba2LiZnAu2
Simulated X-ray powder pattern, copper Kα. Input: DFT lattice parameters and positions (GGA-PBE).
Intensities are scaled so that the largest is 100.

Crystal structure
Cell: 9.134 9.134 9.134 Å, 138.19 61.67 136.82°
Fractional positions:
Ba1 0.163 0.249 0.412
Ba2 0.337 0.749 0.086
Ba3 0.663 0.251 0.914
Ba4 0.837 0.751 0.588
Li1 0.250 0.250 0.000
Li2 0.750 0.750 0.000
Zn1 0.250 0.750 0.500
Zn2 0.750 0.250 0.500
Au1 0.097 0.746 0.842
Au2 0.403 0.246 0.649
Au3 0.597 0.754 0.351
Au4 0.903 0.254 0.158

Main lines, by intensity (2θ = 10–90°):
2θ (°)	I_rel
29.72	100
38.47	60
26.52	50
27.36	46
50.47	42
35.17	40
35.83	38
22.68	30
48.85	25
49.86	24

Entry 11:
# Na2AcCu3O6
Simulated X-ray powder pattern, copper Kα. Input: DFT lattice parameters and positions (GGA-PBE).
Intensities are scaled so that the largest is 100.

Crystal structure
Cell: 3.871 3.871 11.805 Å, 90.00 90.00 90.00°
Fractional positions:
Na1 0.000 0.000 0.201
Na2 0.000 0.000 0.799
Ac1 0.000 0.000 0.500
Cu1 0.500 0.500 0.000
Cu2 0.500 0.500 0.323
Cu3 0.500 0.500 0.677
O1 0.000 0.500 0.357
O2 0.000 0.500 0.643
O3 0.500 0.000 0.357
O4 0.500 0.000 0.643
O5 0.500 0.500 0.146
O6 0.500 0.500 0.854

Main lines, by intensity (2θ = 10–90°):
2θ (°)	I_rel
32.44	100
24.19	61
32.71	51
58.22	37
27.55	33
46.94	30
45.18	19
38.35	18
57.70	17
67.94	17

Entry 12:
# Li2LaCd2In2
Simulated X-ray powder pattern, copper Kα. Input: DFT lattice parameters and positions (GGA-PBE).
Intensities are scaled so that the largest is 100.

Crystal structure
Cell: 8.806 4.871 7.859 Å, 90.00 104.46 90.00°
Fractional positions:
Li1 0.129 0.000 0.433
Li2 0.371 0.500 0.567
Li3 0.629 0.500 0.433
Li4 0.871 0.000 0.567
La1 0.000 0.000 0.000
La2 0.500 0.500 0.000
Cd1 0.218 0.500 0.211
Cd2 0.282 0.000 0.789
Cd3 0.718 0.000 0.211
Cd4 0.782 0.500 0.789
In1 0.093 0.500 0.716
In2 0.407 0.000 0.284
In3 0.593 0.000 0.716
In4 0.907 0.500 0.284

Main lines, by intensity (2θ = 10–90°):
2θ (°)	I_rel
35.94	100
33.58	99
36.91	52
25.33	47
27.24	41
11.63	38
23.38	34
36.41	29
36.61	26
47.06	21